1.
This entry pairs a crystal structure of Nd2CoPdO6 with its computed powder diffraction line list. Radiation: copper Kα. Structure: a PBE+U-relaxed structure.
No peak broadening, texture or thermal motion is included.

Structure:
Unit cell a=5.461 b=5.831 c=9.532 alpha=90.00 beta=124.94 gamma=90.00
Space group P2_1/c (No. 14)
Asymmetric unit:
Nd1 0.230 0.068 0.250 [4 per cell]
Co1 0.000 0.000 0.500 [2 per cell]
Pd1 0.500 0.000 0.000 [2 per cell]
O1 0.144 0.197 0.949 [4 per cell]
O2 0.254 0.702 0.947 [4 per cell]
O3 0.349 0.033 0.748 [4 per cell]

Largest 10 diffraction maxima, most intense first, 10 to 90 degrees two-theta:
32.08 deg, I 100, (1 1 -3)
32.79 deg, I 36, (2 0 -2)
58.08 deg, I 33, (2 0 2)
30.67 deg, I 20, (0 2 0)
45.51 deg, I 19, (2 2 -2)
25.08 deg, I 16, (1 1 -2)
51.24 deg, I 14, (1 3 0)
46.49 deg, I 14, (0 0 4)
47.06 deg, I 10, (2 2 -1)
67.09 deg, I 10, (2 2 2)

2.
This entry pairs a crystal structure of Nd2CoTe2S2O14 with its computed powder diffraction line list. Radiation: copper Kα. Structure: a PBE+U-relaxed structure.
No peak broadening, texture or thermal motion is included.

Structure:
Unit cell a=5.456 b=8.066 c=8.313 alpha=64.79 beta=72.45 gamma=87.41
Space group P-1 (No. 2)
Asymmetric unit:
Nd1 0.097 0.251 0.018 [2 per cell]
Co1 0.000 0.000 0.500 [1 per cell]
Te1 0.474 0.739 0.652 [2 per cell]
S1 0.211 0.754 0.251 [2 per cell]
O1 0.045 0.603 0.269 [2 per cell]
O2 0.130 0.785 0.422 [2 per cell]
O3 0.181 0.922 0.084 [2 per cell]
O4 0.248 0.573 0.889 [2 per cell]
O5 0.251 0.929 0.661 [2 per cell]
O6 0.282 0.190 0.262 [2 per cell]
O7 0.485 0.713 0.215 [2 per cell]

Largest 10 diffraction maxima, most intense first, 10 to 90 degrees two-theta:
24.51 deg, I 100, (0 2 0)
23.98 deg, I 89, (1 1 2)
13.09 deg, I 62, (0 1 1)
29.07 deg, I 58, (-1 2 1)
32.16 deg, I 48, (1 -1 2)
24.17 deg, I 46, (1 0 -1)
23.69 deg, I 44, (-1 1 1)
34.67 deg, I 38, (1 0 -2)
34.48 deg, I 38, (2 1 1)
30.25 deg, I 35, (1 1 -1)

3.
This entry pairs a crystal structure of Nd2CoSbO6 with its computed powder diffraction line list. Radiation: copper Kα. Structure: a PBE+U-relaxed structure.
No peak broadening, texture or thermal motion is included.

Structure:
Unit cell a=5.599 b=5.917 c=9.776 alpha=90.00 beta=123.80 gamma=90.00
Space group P2_1/c (No. 14)
Asymmetric unit:
Nd1 0.226 0.066 0.248 [4 per cell]
Co1 0.000 0.000 0.500 [2 per cell]
Sb1 0.500 0.000 0.000 [2 per cell]
O1 0.137 0.197 0.942 [4 per cell]
O2 0.242 0.701 0.937 [4 per cell]
O3 0.368 0.045 0.750 [4 per cell]

Largest 10 diffraction maxima, most intense first, 10 to 90 degrees two-theta:
30.89 deg, I 100, (1 1 1)
31.35 deg, I 97, (1 1 -3)
44.59 deg, I 62, (0 0 4)
31.98 deg, I 45, (2 0 -2)
30.21 deg, I 38, (0 2 0)
56.03 deg, I 21, (3 1 -1)
56.88 deg, I 21, (3 1 -5)
54.83 deg, I 18, (0 2 4)
32.20 deg, I 17, (0 2 1)
50.39 deg, I 14, (1 3 -2)

Please write out number 3 again, unchanged.
This entry pairs a crystal structure of Nd2CoSbO6 with its computed powder diffraction line list. Radiation: copper Kα. Structure: a PBE+U-relaxed structure.
No peak broadening, texture or thermal motion is included.

Structure:
Unit cell a=5.599 b=5.917 c=9.776 alpha=90.00 beta=123.80 gamma=90.00
Space group P2_1/c (No. 14)
Asymmetric unit:
Nd1 0.226 0.066 0.248 [4 per cell]
Co1 0.000 0.000 0.500 [2 per cell]
Sb1 0.500 0.000 0.000 [2 per cell]
O1 0.137 0.197 0.942 [4 per cell]
O2 0.242 0.701 0.937 [4 per cell]
O3 0.368 0.045 0.750 [4 per cell]

Largest 10 diffraction maxima, most intense first, 10 to 90 degrees two-theta:
30.89 deg, I 100, (1 1 1)
31.35 deg, I 97, (1 1 -3)
44.59 deg, I 62, (0 0 4)
31.98 deg, I 45, (2 0 -2)
30.21 deg, I 38, (0 2 0)
56.03 deg, I 21, (3 1 -1)
56.88 deg, I 21, (3 1 -5)
54.83 deg, I 18, (0 2 4)
32.20 deg, I 17, (0 2 1)
50.39 deg, I 14, (1 3 -2)

- What is the formula in the second record?
  Nd2CoTe2S2O14